No. 1
Calculated powder diffraction line list of Ho2CdCu2 for Cu Kα X-rays, from DFT lattice parameters and positions (PBE).
Kinematic intensities with the Lorentz-polarization factor, no thermal factor.

Top 10 peaks for 5° ≤ 2θ ≤ 70°, low angle first:
2θ/deg, I (rel.)
26.3, 21
33.4, 16
34.2, 58
36.3, 100
37.5, 44
49.5, 17
50.3, 15
56.0, 19
57.5, 18
64.4, 17

Cell and atoms:
Lattice parameters (Å, degrees): 7.586 7.586 3.626 90.00 90.00 90.00
Sites, in units of the cell vectors:
Ho 0.176 0.324 0.000
Ho 0.324 0.824 0.000
Ho 0.676 0.176 0.000
Ho 0.824 0.676 0.000
Cd 0.000 0.000 0.500
Cd 0.500 0.500 0.500
Cu 0.117 0.617 0.500
Cu 0.383 0.117 0.500
Cu 0.617 0.883 0.500
Cu 0.883 0.383 0.500



No. 2
Calculated powder diffraction line list of Cd2InCuSe4 for Cu Kα X-rays, from DFT lattice parameters and positions (PBE).
Kinematic intensities with the Lorentz-polarization factor, no thermal factor.

Top 10 peaks for 5° ≤ 2θ ≤ 70°, low angle first:
2θ/deg, I (rel.)
24.1, 100
25.5, 58
27.3, 70
35.3, 40
42.3, 84
46.0, 83
49.3, 9
50.0, 51
51.1, 12
64.3, 23

Cell and atoms:
Lattice parameters (Å, degrees): 15.824 4.268 7.404 90.00 117.81 90.00
Sites, in units of the cell vectors:
Cd 0.000 0.000 0.000
Cd 0.006 0.500 0.483
Cd 0.500 0.500 0.000
Cd 0.506 0.000 0.483
In 0.248 0.500 0.415
In 0.748 0.000 0.415
Cu 0.251 0.000 0.899
Cu 0.751 0.500 0.899
Se 0.195 0.000 0.163
Se 0.197 0.500 0.707
Se 0.427 0.000 0.083
Se 0.438 0.500 0.595
Se 0.695 0.500 0.163
Se 0.697 0.000 0.707
Se 0.927 0.500 0.083
Se 0.938 0.000 0.595



No. 3
Calculated powder diffraction line list of K2Cd2CuS2O2 for Cu Kα X-rays, from DFT lattice parameters and positions (PBE).
Kinematic intensities with the Lorentz-polarization factor, no thermal factor.

Top 10 peaks for 5° ≤ 2θ ≤ 70°, low angle first:
2θ/deg, I (rel.)
7.3, 58
14.6, 100
28.3, 26
31.3, 49
33.9, 24
37.9, 25
42.9, 29
43.5, 29
46.1, 21
48.7, 13

Cell and atoms:
Lattice parameters (Å, degrees): 12.448 12.448 12.448 160.76 160.76 27.34
Sites, in units of the cell vectors:
K 0.069 0.069 0.000
K 0.931 0.931 0.000
Cd 0.250 0.750 0.500
Cd 0.750 0.250 0.500
Cu 0.500 0.500 0.000
S 0.318 0.318 0.000
S 0.682 0.682 0.000
O 0.000 0.500 0.500
O 0.500 0.000 0.500



No. 4
Calculated powder diffraction line list of Mg14CdCuO16 for Cu Kα X-rays, from DFT lattice parameters and positions (PBE).
Kinematic intensities with the Lorentz-polarization factor, no thermal factor.

Top 10 peaks for 5° ≤ 2θ ≤ 70°, low angle first:
2θ/deg, I (rel.)
10.2, 66
23.1, 26
29.3, 30
36.1, 75
41.5, 100
42.1, 97
42.3, 94
60.6, 56
60.8, 55
61.2, 54

Cell and atoms:
Lattice parameters (Å, degrees): 4.294 8.540 8.703 90.00 90.00 90.00
Sites, in units of the cell vectors:
Mg 0.000 0.000 0.000
Mg 0.000 0.245 0.246
Mg 0.000 0.245 0.754
Mg 0.000 0.500 0.000
Mg 0.000 0.755 0.246
Mg 0.000 0.755 0.754
Mg 0.500 0.000 0.249
Mg 0.500 0.000 0.751
Mg 0.500 0.243 0.500
Mg 0.500 0.248 0.000
Mg 0.500 0.500 0.244
Mg 0.500 0.500 0.756
Mg 0.500 0.752 0.000
Mg 0.500 0.757 0.500
Cd 0.000 0.500 0.500
Cu 0.000 0.000 0.500
O 0.000 0.000 0.236
O 0.000 0.000 0.764
O 0.000 0.232 0.500
O 0.000 0.250 0.000
O 0.000 0.500 0.236
O 0.000 0.500 0.764
O 0.000 0.750 0.000
O 0.000 0.768 0.500
O 0.500 0.000 0.000
O 0.500 0.000 0.500
O 0.500 0.250 0.252
O 0.500 0.250 0.748
O 0.500 0.500 0.000
O 0.500 0.500 0.500
O 0.500 0.750 0.252
O 0.500 0.750 0.748



No. 5
Calculated powder diffraction line list of Mg14CdCuO16 for Cu Kα X-rays, from DFT lattice parameters and positions (PBE).
Kinematic intensities with the Lorentz-polarization factor, no thermal factor.

Top 10 peaks for 5° ≤ 2θ ≤ 70°, low angle first:
2θ/deg, I (rel.)
14.5, 21
20.6, 18
25.4, 13
29.4, 15
32.9, 9
36.2, 26
39.2, 10
42.0, 100
47.2, 8
60.9, 57

Cell and atoms:
Lattice parameters (Å, degrees): 8.610 8.610 4.297 90.00 90.00 90.00
Sites, in units of the cell vectors:
Mg 0.000 0.249 0.000
Mg 0.000 0.500 0.500
Mg 0.000 0.751 0.000
Mg 0.245 0.500 0.000
Mg 0.247 0.247 0.500
Mg 0.247 0.753 0.500
Mg 0.249 0.000 0.000
Mg 0.500 0.000 0.500
Mg 0.500 0.245 0.000
Mg 0.500 0.755 0.000
Mg 0.751 0.000 0.000
Mg 0.753 0.247 0.500
Mg 0.753 0.753 0.500
Mg 0.755 0.500 0.000
Cd 0.500 0.500 0.500
Cu 0.000 0.000 0.500
O 0.000 0.000 0.000
O 0.000 0.251 0.500
O 0.000 0.500 0.000
O 0.000 0.749 0.500
O 0.235 0.500 0.500
O 0.250 0.250 0.000
O 0.250 0.750 0.000
O 0.251 0.000 0.500
O 0.500 0.000 0.000
O 0.500 0.235 0.500
O 0.500 0.500 0.000
O 0.500 0.765 0.500
O 0.749 0.000 0.500
O 0.750 0.250 0.000
O 0.750 0.750 0.000
O 0.765 0.500 0.500



No. 6
Calculated powder diffraction line list of Mg6CdCuO8 for Cu Kα X-rays, from DFT lattice parameters and positions (PBE).
Kinematic intensities with the Lorentz-polarization factor, no thermal factor.

Top 10 peaks for 5° ≤ 2θ ≤ 70°, low angle first:
2θ/deg, I (rel.)
10.2, 100
20.5, 25
29.0, 26
30.8, 36
35.7, 59
41.4, 98
41.6, 48
42.9, 15
60.0, 29
60.2, 56

Cell and atoms:
Lattice parameters (Å, degrees): 4.362 4.362 8.677 90.00 90.00 90.00
Sites, in units of the cell vectors:
Mg 0.000 0.000 0.000
Mg 0.000 0.500 0.247
Mg 0.000 0.500 0.753
Mg 0.500 0.000 0.247
Mg 0.500 0.000 0.753
Mg 0.500 0.500 0.000
Cd 0.000 0.000 0.500
Cu 0.500 0.500 0.500
O 0.000 0.000 0.234
O 0.000 0.000 0.766
O 0.000 0.500 0.000
O 0.000 0.500 0.500
O 0.500 0.000 0.000
O 0.500 0.000 0.500
O 0.500 0.500 0.249
O 0.500 0.500 0.751



No. 7
Calculated powder diffraction line list of Mg6CdCuO8 for Cu Kα X-rays, from DFT lattice parameters and positions (PBE).
Kinematic intensities with the Lorentz-polarization factor, no thermal factor.

Top 10 peaks for 5° ≤ 2θ ≤ 70°, low angle first:
2θ/deg, I (rel.)
20.3, 51
20.6, 25
28.9, 22
29.1, 43
35.8, 59
41.3, 100
42.0, 46
51.3, 17
59.8, 29
60.4, 56

Cell and atoms:
Lattice parameters (Å, degrees): 4.373 4.373 8.604 90.00 90.00 90.00
Sites, in units of the cell vectors:
Mg 0.000 0.000 0.000
Mg 0.000 0.000 0.500
Mg 0.000 0.500 0.242
Mg 0.000 0.500 0.758
Mg 0.500 0.000 0.242
Mg 0.500 0.000 0.758
Cd 0.500 0.500 0.500
Cu 0.500 0.500 0.000
O 0.000 0.000 0.249
O 0.000 0.000 0.751
O 0.000 0.500 0.000
O 0.000 0.500 0.500
O 0.500 0.000 0.000
O 0.500 0.000 0.500
O 0.500 0.500 0.234
O 0.500 0.500 0.766



No. 8
Calculated powder diffraction line list of MgCd2CuP2O8 for Cu Kα X-rays, from DFT lattice parameters and positions (PBE).
Kinematic intensities with the Lorentz-polarization factor, no thermal factor.

Top 10 peaks for 5° ≤ 2θ ≤ 70°, low angle first:
2θ/deg, I (rel.)
21.9, 100
22.9, 21
26.1, 99
26.7, 61
27.1, 58
28.6, 69
33.8, 37
34.6, 26
35.0, 35
36.3, 22

Cell and atoms:
Lattice parameters (Å, degrees): 5.077 5.517 7.840 78.88 84.47 77.38
Sites, in units of the cell vectors:
Mg 0.000 0.000 0.000
Cd 0.421 0.858 0.354
Cd 0.875 0.392 0.634
Cu 0.239 0.508 0.025
P 0.501 0.952 0.768
P 0.783 0.284 0.223
O 0.301 0.190 0.690
O 0.372 0.825 0.944
O 0.484 0.268 0.207
O 0.582 0.761 0.640
O 0.760 0.034 0.812
O 0.808 0.456 0.351
O 0.909 0.376 0.034
O 0.944 0.001 0.266



No. 9
Calculated powder diffraction line list of MnCdCu4Sn2Se8 for Cu Kα X-rays, from DFT lattice parameters and positions (PBE).
Kinematic intensities with the Lorentz-polarization factor, no thermal factor.

Top 10 peaks for 5° ≤ 2θ ≤ 70°, low angle first:
2θ/deg, I (rel.)
26.5, 100
34.4, 4
37.9, 3
43.8, 26
44.0, 47
51.9, 30
52.3, 13
63.7, 8
64.3, 3
66.2, 2

Cell and atoms:
Lattice parameters (Å, degrees): 7.116 7.116 11.689 114.19 114.19 48.51
Sites, in units of the cell vectors:
Mn 0.000 0.000 0.000
Cd 0.000 0.000 0.500
Cu 0.250 0.249 0.374
Cu 0.250 0.251 0.876
Cu 0.749 0.750 0.124
Cu 0.751 0.750 0.626
Sn 0.500 0.500 0.248
Sn 0.500 0.500 0.752
Se 0.108 0.621 0.811
Se 0.112 0.603 0.301
Se 0.379 0.892 0.189
Se 0.397 0.888 0.699
Se 0.601 0.114 0.556
Se 0.622 0.108 0.054
Se 0.886 0.399 0.444
Se 0.892 0.378 0.946



What did the fifth record say?
Calculated powder diffraction line list of Mg14CdCuO16 for Cu Kα X-rays, from DFT lattice parameters and positions (PBE).
Kinematic intensities with the Lorentz-polarization factor, no thermal factor.

Top 10 peaks for 5° ≤ 2θ ≤ 70°, low angle first:
2θ/deg, I (rel.)
14.5, 21
20.6, 18
25.4, 13
29.4, 15
32.9, 9
36.2, 26
39.2, 10
42.0, 100
47.2, 8
60.9, 57

Cell and atoms:
Lattice parameters (Å, degrees): 8.610 8.610 4.297 90.00 90.00 90.00
Sites, in units of the cell vectors:
Mg 0.000 0.249 0.000
Mg 0.000 0.500 0.500
Mg 0.000 0.751 0.000
Mg 0.245 0.500 0.000
Mg 0.247 0.247 0.500
Mg 0.247 0.753 0.500
Mg 0.249 0.000 0.000
Mg 0.500 0.000 0.500
Mg 0.500 0.245 0.000
Mg 0.500 0.755 0.000
Mg 0.751 0.000 0.000
Mg 0.753 0.247 0.500
Mg 0.753 0.753 0.500
Mg 0.755 0.500 0.000
Cd 0.500 0.500 0.500
Cu 0.000 0.000 0.500
O 0.000 0.000 0.000
O 0.000 0.251 0.500
O 0.000 0.500 0.000
O 0.000 0.749 0.500
O 0.235 0.500 0.500
O 0.250 0.250 0.000
O 0.250 0.750 0.000
O 0.251 0.000 0.500
O 0.500 0.000 0.000
O 0.500 0.235 0.500
O 0.500 0.500 0.000
O 0.500 0.765 0.500
O 0.749 0.000 0.500
O 0.750 0.250 0.000
O 0.750 0.750 0.000
O 0.765 0.500 0.500